# 1
Calculated powder diffractogram of MgSnHg for Cu Kα X-rays, from a cell relaxed with PBE.

Structural model:
Cell lengths 6.3936, 3.3048, 7.1142 Å; angles 90.00, 92.75, 90.00 degrees
Element x y z (fractional)
Mg: 0.0000 0.0000 0.0000
Mg: 0.4691 0.0000 0.4011
Sn: 0.1851 0.5000 0.6597
Sn: 0.6925 0.5000 0.7315
Hg: 0.3962 0.5000 0.0691
Hg: 0.8644 0.5000 0.3083

Main lines, sorted by position (2θ = 5–70°):
2θ 18.23, rel. 41.7, (1 0 -1); 2θ 26.98, rel. 100.0, (0 1 0); 2θ 28.15, rel. 45.4, (1 0 -2); 2θ 29.35, rel. 44.5, (1 0 2); 2θ 30.13, rel. 43.6, (2 0 -1); 2θ 31.26, rel. 59.1, (2 0 1); 2θ 32.75, rel. 39.7, (1 1 -1); 2θ 39.39, rel. 45.2, (1 1 -2); 2θ 40.28, rel. 45.2, (1 1 2); 2θ 41.75, rel. 50.0, (2 1 1)

# 2
Calculated powder diffractogram of SrMg2SnHg for Cu Kα X-rays, from a cell relaxed with PBE.

Structural model:
Cell lengths 5.5102, 5.5102, 5.7046 Å; angles 90.00, 90.00, 90.00 degrees
Element x y z (fractional)
Sr: 0.0000 0.0000 0.0000
Mg: 0.0000 0.5000 0.5000
Mg: 0.5000 0.0000 0.5000
Sn: 0.5000 0.5000 0.5000
Hg: 0.5000 0.5000 0.0000

Main lines, sorted by position (2θ = 5–70°):
2θ 16.09, rel. 92.8, (1 0 0); 2θ 22.82, rel. 100.0, (1 1 0); 2θ 27.73, rel. 47.2, (1 1 1); 2θ 31.36, rel. 38.2, (0 0 2); 2θ 32.50, rel. 69.6, (2 0 0); 2θ 35.44, rel. 28.4, (1 0 2); 2θ 39.14, rel. 51.1, (1 1 2); 2θ 45.79, rel. 54.1, (2 0 2); 2θ 57.27, rel. 27.9, (2 2 2); 2θ 62.46, rel. 26.7, (3 1 2)